Diffraction record for NiH15IO12. The powder X-ray diffraction pattern is computed, not measured: it uses a crystal structure in the Materials Project, relaxed with GGA+U and Cu Kα (weighted mean of Kα1 and Kα2).
Intensities are scaled so that the largest is 100.

Main lines, low angle first (2θ = 10–90°):
2theta, I (rel.), (hkl)
11.9, 100, 0 1 1
16.1, 94, 0 2 0
16.6, 98, 1 0 0
17.6, 95, 0 0 2
18.7, 52, 1 0 -2
23.2, 86, 1 2 0
23.9, 76, 0 2 2
24.7, 47, 1 2 -2
27.8, 49, 0 1 3
28.8, 33, 1 3 -1

Cell and atoms:
```
NiH15IO12
1.0
5.834 0.000 0.000
0.000 11.036 0.000
-4.457 0.000 10.077
Ni H I O
2 30 2 24
Direct
0.000 0.185 0.000
0.000 0.815 0.500
0.119 0.104 0.236
0.119 0.896 0.736
0.210 0.009 0.683
0.210 0.991 0.183
0.211 0.470 0.090
0.211 0.530 0.590
0.305 0.480 0.601
0.305 0.520 0.101
0.405 0.292 0.086
0.405 0.708 0.586
0.448 0.381 0.823
0.448 0.619 0.323
0.504 0.175 0.984
0.504 0.825 0.484
0.509 0.200 0.465
0.509 0.800 0.965
0.578 0.497 0.309
0.578 0.503 0.809
0.617 0.037 0.968
0.617 0.963 0.468
0.802 0.385 0.719
0.802 0.615 0.219
0.818 0.379 0.984
0.818 0.621 0.484
0.859 0.141 0.740
0.859 0.859 0.240
0.892 0.012 0.810
0.892 0.988 0.310
0.990 0.456 0.678
0.990 0.544 0.178
0.860 0.261 0.413
0.860 0.739 0.913
0.161 0.382 0.366
0.161 0.618 0.866
0.188 0.079 0.171
0.188 0.921 0.671
0.323 0.248 0.002
0.323 0.752 0.502
0.365 0.349 0.462
0.365 0.651 0.962
0.603 0.414 0.822
0.603 0.586 0.322
0.607 0.341 0.287
0.607 0.659 0.787
0.643 0.124 0.962
0.643 0.876 0.462
0.655 0.150 0.473
0.655 0.850 0.973
0.921 0.375 0.676
0.921 0.625 0.176
0.940 0.140 0.326
0.940 0.860 0.826
0.942 0.341 0.068
0.942 0.659 0.568
0.961 0.096 0.819
0.961 0.904 0.319
```



Diffraction record for Li6CoCu3P4O16. The powder X-ray diffraction pattern is computed, not measured: it uses a crystal structure in the Materials Project, relaxed with GGA+U and Cu Kα (weighted mean of Kα1 and Kα2).
Intensities are scaled so that the largest is 100.

Main lines, low angle first (2θ = 10–90°):
2theta, I (rel.), (hkl)
19.3, 64, 1 0 -1
19.6, 34, 1 0 1
24.2, 87, 1 0 -2
24.6, 34, 1 0 2
28.2, 24, -1 1 2
28.5, 100, 0 2 0
34.3, 33, 0 0 4
34.6, 28, -1 2 1
34.7, 28, 1 2 -1
38.5, 25, 1 0 -4

Cell and atoms:
```
Li6CoCu3P4O16
1.0
5.078 0.000 0.000
-0.015 6.260 0.000
-0.169 -0.004 10.451
Li Co Cu P O
6 1 3 4 16
Direct
0.000 0.000 0.000
0.000 0.478 0.000
0.461 0.493 0.757
0.461 0.985 0.757
0.723 0.483 0.482
0.723 0.995 0.482
0.182 0.232 0.391
0.456 0.239 0.976
0.765 0.740 0.279
0.959 0.739 0.774
0.231 0.738 0.516
0.505 0.739 0.012
0.718 0.240 0.226
0.972 0.239 0.703
0.274 0.239 0.720
0.302 0.740 0.664
0.349 0.532 0.459
0.352 0.945 0.458
0.368 0.540 0.945
0.369 0.938 0.945
0.417 0.239 0.230
0.461 0.739 0.155
0.804 0.739 0.980
0.818 0.238 0.085
0.846 0.048 0.302
0.846 0.434 0.299
0.848 0.041 0.771
0.848 0.437 0.771
0.893 0.239 0.559
0.927 0.740 0.497
```



Diffraction record for LiMnBO3. The powder X-ray diffraction pattern is computed, not measured: it uses a crystal structure in the Materials Project, relaxed with GGA+U and Cu Kα (weighted mean of Kα1 and Kα2).
Intensities are scaled so that the largest is 100.

Main lines, low angle first (2θ = 10–90°):
2theta, I (rel.), (hkl)
21.4, 100, 1 0 1
27.7, 59, 0 1 0
30.4, 30, 0 1 1
33.0, 20, 3 0 -1
35.3, 84, 1 1 1
37.6, 48, 3 0 -3
43.6, 41, 2 0 2
47.3, 22, 3 1 0
52.5, 35, 2 1 2
54.1, 42, 4 1 -3

Cell and atoms:
```
LiMnBO3
1.0
8.292 0.000 0.000
0.000 3.220 0.000
-4.141 0.000 7.186
Li Mn B O
3 3 3 9
Direct
0.000 0.000 0.000
0.280 0.000 0.593
0.687 0.000 0.280
0.365 0.500 0.295
0.617 0.500 0.915
0.984 0.500 0.663
0.322 0.500 0.958
0.655 0.000 0.624
0.989 0.500 0.291
0.183 0.500 0.004
0.183 0.500 0.394
0.276 0.500 0.772
0.508 0.500 0.097
0.552 0.000 0.431
0.566 0.000 0.728
0.849 0.000 0.714
0.885 0.500 0.381
0.898 0.500 0.097
```